Calculated X-ray powder pattern
Compound: Li4Zn
Radiation: copper Kα
Structure: a crystal structure in OQMD, relaxed with GGA-PBE

Most intense lines, 10° ≤ 2θ ≤ 80°, sorted by position:
Position (°2θ), Rel. int.
20.08, 73
23.40, 100
25.14, 41
25.91, 38
27.09, 68
34.54, 36
39.48, 48
40.91, 44
42.16, 40
47.88, 21

```
10
Lattice="4.745 -2.281 0.000 4.745 2.281 0.000 -2.753 0.000 7.085" Properties=species:S:1:pos:R:3 pbc="T T T"
Li -0.480 0.000 2.503
Li 1.335 0.000 0.360
Li 2.030 0.000 3.178
Li 3.845 0.000 1.042
Li 2.893 0.000 6.043
Li 4.707 0.000 3.907
Li 5.403 0.000 6.725
Li 7.218 0.000 4.582
Zn 0.311 0.000 5.315
Zn 6.426 0.000 1.769
```


Calculated X-ray powder pattern
Compound: Li3Zn4
Radiation: copper Kα
Structure: a crystal structure in OQMD, relaxed with GGA-PBE

Most intense lines, 10° ≤ 2θ ≤ 80°, sorted by position:
Position (°2θ), Rel. int.
14.23, 39
24.94, 38
28.70, 22
32.29, 25
38.27, 32
41.42, 26
43.73, 100
57.66, 18
69.20, 17
77.15, 17

```
14
Lattice="7.185 0.000 0.000 -3.592 6.222 0.000 0.000 0.000 4.360" Properties=species:S:1:pos:R:3 pbc="T T T"
Li -1.023 2.914 1.090
Li -0.557 5.651 1.090
Li 2.013 2.343 3.270
Li 1.580 3.879 1.090
Li 4.149 0.571 3.270
Li 4.615 3.308 3.270
Zn -0.481 1.519 3.270
Zn -2.036 5.879 3.270
Zn 1.075 1.176 1.090
Zn 0.000 4.148 3.270
Zn 3.592 2.074 1.090
Zn 2.517 5.046 3.270
Zn 5.628 0.343 1.090
Zn 4.074 4.703 1.090
```


Copy entry 2 word for word.
Calculated X-ray powder pattern
Compound: Li3Zn4
Radiation: copper Kα
Structure: a crystal structure in OQMD, relaxed with GGA-PBE

Most intense lines, 10° ≤ 2θ ≤ 80°, sorted by position:
Position (°2θ), Rel. int.
14.23, 39
24.94, 38
28.70, 22
32.29, 25
38.27, 32
41.42, 26
43.73, 100
57.66, 18
69.20, 17
77.15, 17

```
14
Lattice="7.185 0.000 0.000 -3.592 6.222 0.000 0.000 0.000 4.360" Properties=species:S:1:pos:R:3 pbc="T T T"
Li -1.023 2.914 1.090
Li -0.557 5.651 1.090
Li 2.013 2.343 3.270
Li 1.580 3.879 1.090
Li 4.149 0.571 3.270
Li 4.615 3.308 3.270
Zn -0.481 1.519 3.270
Zn -2.036 5.879 3.270
Zn 1.075 1.176 1.090
Zn 0.000 4.148 3.270
Zn 3.592 2.074 1.090
Zn 2.517 5.046 3.270
Zn 5.628 0.343 1.090
Zn 4.074 4.703 1.090
```


Repeat the first record exactly.
Calculated X-ray powder pattern
Compound: Li4Zn
Radiation: copper Kα
Structure: a crystal structure in OQMD, relaxed with GGA-PBE

Most intense lines, 10° ≤ 2θ ≤ 80°, sorted by position:
Position (°2θ), Rel. int.
20.08, 73
23.40, 100
25.14, 41
25.91, 38
27.09, 68
34.54, 36
39.48, 48
40.91, 44
42.16, 40
47.88, 21

```
10
Lattice="4.745 -2.281 0.000 4.745 2.281 0.000 -2.753 0.000 7.085" Properties=species:S:1:pos:R:3 pbc="T T T"
Li -0.480 0.000 2.503
Li 1.335 0.000 0.360
Li 2.030 0.000 3.178
Li 3.845 0.000 1.042
Li 2.893 0.000 6.043
Li 4.707 0.000 3.907
Li 5.403 0.000 6.725
Li 7.218 0.000 4.582
Zn 0.311 0.000 5.315
Zn 6.426 0.000 1.769
```